For Ag2GeSe3, a PBE-relaxed structure gives the simulated PXRD pattern in this record (CuKα).

Structural model:
```
12
Lattice="6.3461 -3.6443 0.0000 6.3461 3.6443 0.0000 0.0000 0.0000 6.9113" Properties=species:S:1:pos:R:3 pbc="T T T"
Ag 2.0445 1.0853 0.0000
Ag 2.0445 -1.0853 3.4557
Ag 10.6477 1.0853 0.0000
Ag 10.6477 -1.0853 3.4557
Ge 6.3461 1.1125 6.7062
Ge 6.3461 -1.1125 3.2506
Se 4.3421 2.2084 6.0805
Se 6.3461 1.1817 2.3306
Se 8.3500 2.2084 6.0805
Se 4.3421 -2.2084 2.6248
Se 6.3461 -1.1817 5.7863
Se 8.3500 -2.2084 2.6248
```

Most intense lines, 2θ from 10° to 90°, by angle:
2θ/deg	I_rel
24.36	100
25.78	57
27.62	74
35.76	37
42.75	29
42.93	51
46.61	80
50.59	16
50.75	29
65.11	19

---

For Be2Nb, a PBE-relaxed structure gives the simulated PXRD pattern in this record (CuKα).

Structural model:
```
6
Lattice="0.0000 3.2698 3.2698 3.2698 0.0000 3.2698 3.2698 3.2698 0.0000" Properties=species:S:1:pos:R:3 pbc="T T T"
Be 0.0000 0.0000 0.0000
Be 1.6349 1.6349 0.0000
Be 1.6349 0.0000 1.6349
Be 0.0000 1.6349 1.6349
Nb 2.4524 2.4524 2.4524
Nb 4.0873 4.0873 4.0873
```

Most intense lines, 2θ from 10° to 90°, by angle:
2θ/deg	I_rel
23.56	100
38.95	97
46.03	70
48.20	1
56.27	12
61.84	20
70.55	32
75.55	21
83.65	13
88.44	15

---

For LiAgO2, a PBE-relaxed structure gives the simulated PXRD pattern in this record (CuKα).

Structural model:
```
8
Lattice="5.2653 0.0000 0.0000 0.0000 3.1478 0.0000 -0.2386 0.0000 6.1896" Properties=species:S:1:pos:R:3 pbc="T T T"
Li 0.0778 0.0000 1.4311
Li 4.9489 0.0000 4.7586
Ag 2.6327 1.5739 0.0000
Ag 2.5134 1.5739 3.0948
O 0.3890 1.5739 2.5551
O 1.0935 0.0000 6.0958
O 3.9333 0.0000 0.0938
O 4.6377 1.5739 3.6345
```

Most intense lines, 2θ from 10° to 90°, by angle:
2θ/deg	I_rel
16.85	100
28.35	39
28.85	57
33.01	34
33.16	48
34.12	45
40.89	30
44.06	22
44.93	49
55.04	21

---

- Which formula does entry 3 have?
  LiAgO2